Structure and simulated X-ray powder pattern of Te6MoW3Se2 (a DFT-relaxed cell (PBE, the Materials Project); Cu Ka).

Atomic structure:
```
data_Te6MoW3Se2
_cell_length_a 3.4982
_cell_length_b 3.4982
_cell_length_c 39.6822
_cell_angle_alpha 90.00
_cell_angle_beta 90.00
_cell_angle_gamma 120.00
_symmetry_space_group_name_H-M 'P 1'
_symmetry_Int_Tables_number 1
loop_
_symmetry_equiv_pos_as_xyz
'x,y,z'
loop_
_atom_site_label
_atom_site_fract_x
_atom_site_fract_y
_atom_site_fract_z
Te1 0.0000 0.0000 0.0000
Te2 0.0000 0.0000 0.0923
Te3 0.6667 0.3333 0.1876
Te4 0.6667 0.3333 0.2805
Te5 0.6667 0.3333 0.8118
Te6 0.6667 0.3333 0.9047
Mo1 0.6667 0.3333 0.0462
W1 0.0000 0.0000 0.2340
W2 0.0000 0.0000 0.8583
W3 0.6667 0.3333 0.6704
Se1 0.0000 0.0000 0.6295
Se2 0.0000 0.0000 0.7113
```

Peak list (8 most intense, 2θ from 10° to 90°, by angle)
d 7.936, 11.15°, rel. 100
d 3.028, 29.50°, rel. 47
d 2.585, 34.70°, rel. 95
d 2.150, 42.02°, rel. 61
d 2.070, 43.74°, rel. 19
d 1.749, 52.31°, rel. 37
d 1.449, 64.30°, rel. 16
d 1.284, 73.82°, rel. 18

=====

Structure and simulated X-ray powder pattern of AuO2F6 (a DFT-relaxed cell (PBE, the Materials Project); Cu Ka).

Atomic structure:
```
data_AuO2F6
_cell_length_a 5.5099
_cell_length_b 5.5752
_cell_length_c 5.6319
_cell_angle_alpha 90.38
_cell_angle_beta 100.39
_cell_angle_gamma 103.53
_symmetry_space_group_name_H-M 'P 1'
_symmetry_Int_Tables_number 1
loop_
_symmetry_equiv_pos_as_xyz
'x,y,z'
loop_
_atom_site_label
_atom_site_fract_x
_atom_site_fract_y
_atom_site_fract_z
Au1 0.0000 0.0000 0.0000
O1 0.4321 0.5503 0.5398
O2 0.5679 0.4497 0.4602
F1 0.0460 0.8180 0.7231
F2 0.2224 0.3010 0.9210
F3 0.2891 0.9172 0.2056
F4 0.7109 0.0828 0.7944
F5 0.7776 0.6990 0.0790
F6 0.9540 0.1820 0.2769
```

Peak list (8 most intense, 2θ from 10° to 90°, by angle)
d 5.532, 16.02°, rel. 100
d 5.413, 16.37°, rel. 95
d 5.262, 16.85°, rel. 88
d 4.326, 20.53°, rel. 79
d 4.228, 21.01°, rel. 70
d 3.972, 22.38°, rel. 59
d 3.774, 23.57°, rel. 51
d 3.500, 25.45°, rel. 41

=====

Structure and simulated X-ray powder pattern of Na2ZrSi6O18 (a DFT-relaxed cell (PBE, the Materials Project); Cu Ka).

Atomic structure:
```
data_Na2ZrSi6O18
_cell_length_a 14.6173
_cell_length_b 7.4417
_cell_length_c 7.2799
_cell_angle_alpha 90.00
_cell_angle_beta 90.00
_cell_angle_gamma 90.00
_symmetry_space_group_name_H-M 'P 1'
_symmetry_Int_Tables_number 1
loop_
_symmetry_equiv_pos_as_xyz
'x,y,z'
loop_
_atom_site_label
_atom_site_fract_x
_atom_site_fract_y
_atom_site_fract_z
Na1 0.0000 0.0000 0.0000
Na2 0.2500 0.0298 0.5042
Na3 0.5000 0.0000 0.0000
Na4 0.7500 0.9702 0.5042
Zr1 0.0000 0.0000 0.5029
Zr2 0.5000 0.0000 0.5029
Si1 0.1403 0.4066 0.5055
Si2 0.1415 0.7139 0.7837
Si3 0.1426 0.7210 0.2238
Si4 0.3574 0.7210 0.2238
Si5 0.3585 0.7139 0.7837
Si6 0.3597 0.4066 0.5055
Si7 0.6403 0.5934 0.5055
Si8 0.6415 0.2861 0.7837
Si9 0.6426 0.2790 0.2238
Si10 0.8574 0.2790 0.2238
Si11 0.8585 0.2861 0.7837
Si12 0.8597 0.5934 0.5055
O1 0.0792 0.8791 0.7129
O2 0.0786 0.8844 0.2905
O3 0.0909 0.2149 0.4968
O4 0.1139 0.5223 0.6895
O5 0.1202 0.5303 0.3242
O6 0.1287 0.6890 0.0043
O7 0.1746 0.2100 0.9542
O8 0.2500 0.2883 0.9985
O9 0.2500 0.3579 0.5138
O10 0.2500 0.7602 0.7362
O11 0.2500 0.7800 0.2679
O12 0.3254 0.2100 0.9542
O13 0.3713 0.6890 0.0043
O14 0.3798 0.5303 0.3242
O15 0.3861 0.5223 0.6895
O16 0.4091 0.2149 0.4968
O17 0.4208 0.8791 0.7129
O18 0.4214 0.8844 0.2905
O19 0.5786 0.1156 0.2905
O20 0.5792 0.1209 0.7129
O21 0.5909 0.7851 0.4968
O22 0.6139 0.4777 0.6895
O23 0.6202 0.4697 0.3242
O24 0.6287 0.3110 0.0043
O25 0.6746 0.7900 0.9542
O26 0.7500 0.2200 0.2679
O27 0.7500 0.2398 0.7362
O28 0.7500 0.6421 0.5138
O29 0.7500 0.7117 0.9985
O30 0.8254 0.7900 0.9542
O31 0.8713 0.3110 0.0043
O32 0.8798 0.4697 0.3242
O33 0.8861 0.4777 0.6895
O34 0.9091 0.7851 0.4968
O35 0.9214 0.1156 0.2905
O36 0.9208 0.1209 0.7129
```

Peak list (8 most intense, 2θ from 10° to 90°, by angle)
d 7.280, 12.16°, rel. 83
d 6.632, 13.35°, rel. 32
d 5.214, 17.01°, rel. 73
d 3.314, 26.90°, rel. 80
d 3.279, 27.20°, rel. 79
d 3.191, 27.96°, rel. 100
d 2.989, 29.90°, rel. 47
d 2.605, 34.43°, rel. 27

=====

Structure and simulated X-ray powder pattern of Mn2CuNiSb2 (a DFT-relaxed cell (PBE, the Materials Project); Cu Ka).

Atomic structure:
```
data_Mn2CuNiSb2
_cell_length_a 7.3545
_cell_length_b 7.3545
_cell_length_c 7.3545
_cell_angle_alpha 33.60
_cell_angle_beta 33.60
_cell_angle_gamma 33.60
_symmetry_space_group_name_H-M 'P 1'
_symmetry_Int_Tables_number 1
loop_
_symmetry_equiv_pos_as_xyz
'x,y,z'
loop_
_atom_site_label
_atom_site_fract_x
_atom_site_fract_y
_atom_site_fract_z
Mn1 0.0000 0.0000 0.0000
Mn2 0.4948 0.4948 0.4948
Cu1 0.8721 0.8721 0.8721
Ni1 0.3732 0.3732 0.3732
Sb1 0.2500 0.2500 0.2500
Sb2 0.7448 0.7448 0.7448
```

Peak list (8 most intense, 2θ from 10° to 90°, by angle)
d 3.470, 25.68°, rel. 38
d 3.005, 29.73°, rel. 27
d 2.125, 42.55°, rel. 100
d 1.812, 50.36°, rel. 18
d 1.502, 61.75°, rel. 16
d 1.344, 70.02°, rel. 9
d 1.227, 77.85°, rel. 23
d 1.226, 77.94°, rel. 7